This entry pairs a crystal structure of Li4Si3Ni2O10 with its theoretical powder XRD pattern. Radiation: copper Kα. Structure: the PBE+U geometry in Alexandria.

Peak list (10 most intense, 2θ from 10° to 90°, in order of rising 2θ)
2theta, d (Å), I_rel, (hkl)
10.67, 8.294, 84, 0 0 2
18.90, 4.695, 46, 1 1 0
19.27, 4.606, 77, 1 1 -1
19.63, 4.522, 80, 2 0 0
21.05, 4.220, 84, 1 1 -2
22.42, 3.965, 49, 1 1 2
27.65, 3.226, 60, 1 1 -4
32.38, 2.765, 92, 0 0 6
33.68, 2.661, 100, 3 1 -1
36.53, 2.460, 42, 0 2 3

Atomic structure:
```
data_Li4Si3Ni2O10
_chemical_formula_sum 'Li16 Si12 Ni8 O40'
_space_group_name_H-M_alt 'C 1 2/c 1'
_space_group_IT_number 15
_space_group_name_Hall '-C 2yc'
_cell_length_a 9.1340
_cell_length_b 5.4931
_cell_length_c 16.7514
_cell_angle_alpha 90.00
_cell_angle_beta 98.01
_cell_angle_gamma 90.00
loop_
_atom_site_label
_atom_site_fract_x
_atom_site_fract_y
_atom_site_fract_z
Li1 0.1938 0.1262 0.2237
Li2 0.2456 0.4239 0.4472
Si1 0.0000 0.3845 0.7500
Si2 0.0660 0.0956 0.9014
Ni1 0.0967 0.4068 0.0806
O1 0.0650 0.3471 0.9551
O2 0.0947 0.0428 0.1099
O3 0.1023 0.1937 0.8114
O4 0.1172 0.4638 0.2059
O5 0.2065 0.0769 0.4342
```